(1)
Simulated powder XRD pattern
Compound: CeIn2Ni9
Radiation: Cu Kα (λ = 1.5418 Å)
Structure: a GGA-PBE-relaxed structure

Cell and atoms:
```
data_CeIn2Ni9
_symmetry_space_group_name_H-M 'P 1'
_symmetry_Int_Tables_number 1
_symmetry_space_group_name_Hall 'P 1'
_cell_length_a 8.273
_cell_length_b 8.273
_cell_length_c 4.831
_cell_angle_alpha 90.00
_cell_angle_beta 90.00
_cell_angle_gamma 90.00
loop_
_atom_site_label
_atom_site_type_symbol
_atom_site_fract_x
_atom_site_fract_y
_atom_site_fract_z
Ce1 Ce 0.000 0.000 0.000
Ce2 Ce 0.500 0.500 0.000
In1 In 0.123 0.377 0.000
In2 In 0.377 0.877 0.000
In3 In 0.623 0.123 0.000
In4 In 0.877 0.623 0.000
Ni1 Ni 0.000 0.500 0.500
Ni2 Ni 0.064 0.205 0.500
Ni3 Ni 0.176 0.676 0.246
Ni4 Ni 0.176 0.676 0.754
Ni5 Ni 0.205 0.936 0.500
Ni6 Ni 0.295 0.436 0.500
Ni7 Ni 0.324 0.176 0.246
Ni8 Ni 0.324 0.176 0.754
Ni9 Ni 0.436 0.705 0.500
Ni10 Ni 0.500 0.000 0.500
Ni11 Ni 0.564 0.295 0.500
Ni12 Ni 0.676 0.824 0.246
Ni13 Ni 0.676 0.824 0.754
Ni14 Ni 0.705 0.564 0.500
Ni15 Ni 0.795 0.064 0.500
Ni16 Ni 0.824 0.324 0.246
Ni17 Ni 0.824 0.324 0.754
Ni18 Ni 0.936 0.795 0.500
```

Main lines, in order of rising 2θ (2θ = 5–70°):
| Position (°2θ) | I/Imax |
| --- | --- |
| 34.3 | 23 |
| 35.9 | 21 |
| 37.2 | 17 |
| 39.2 | 100 |
| 43.4 | 28 |
| 43.7 | 41 |
| 44.8 | 72 |
| 45.2 | 33 |
| 49.2 | 21 |
| 68.4 | 17 |


(2)
Simulated powder XRD pattern
Compound: Ti2S3
Radiation: Cu Kα (λ = 1.5418 Å)
Structure: a GGA-PBE-relaxed structure

Cell and atoms:
```
data_Ti2S3
_symmetry_space_group_name_H-M 'P 1'
_symmetry_Int_Tables_number 1
_symmetry_space_group_name_Hall 'P 1'
_cell_length_a 5.939
_cell_length_b 5.939
_cell_length_c 6.055
_cell_angle_alpha 99.48
_cell_angle_beta 99.48
_cell_angle_gamma 119.91
loop_
_atom_site_label
_atom_site_type_symbol
_atom_site_fract_x
_atom_site_fract_y
_atom_site_fract_z
Ti1 Ti 0.000 0.000 0.000
Ti2 Ti 0.172 0.828 0.500
Ti3 Ti 0.500 0.500 0.500
Ti4 Ti 0.828 0.172 0.500
S1 S 0.082 0.417 0.243
S2 S 0.250 0.250 0.747
S3 S 0.417 0.082 0.243
S4 S 0.583 0.918 0.757
S5 S 0.750 0.750 0.253
S6 S 0.918 0.583 0.757
```

Main lines, in order of rising 2θ (2θ = 5–70°):
| Position (°2θ) | I/Imax |
| --- | --- |
| 15.5 | 17 |
| 18.0 | 6 |
| 20.1 | 6 |
| 30.5 | 11 |
| 36.8 | 100 |
| 40.1 | 5 |
| 52.6 | 32 |
| 53.4 | 30 |
| 65.3 | 5 |
| 66.6 | 15 |


(3)
Simulated powder XRD pattern
Compound: Li5BiP4O14
Radiation: Cu Kα (λ = 1.5418 Å)
Structure: a GGA-PBE-relaxed structure

Cell and atoms:
```
data_Li5BiP4O14
_symmetry_space_group_name_H-M 'P 1'
_symmetry_Int_Tables_number 1
_symmetry_space_group_name_Hall 'P 1'
_cell_length_a 7.244
_cell_length_b 8.728
_cell_length_c 9.902
_cell_angle_alpha 76.99
_cell_angle_beta 76.75
_cell_angle_gamma 69.03
loop_
_atom_site_label
_atom_site_type_symbol
_atom_site_fract_x
_atom_site_fract_y
_atom_site_fract_z
Li1 Li 0.035 0.486 0.139
Li2 Li 0.242 0.732 0.910
Li3 Li 0.283 0.262 0.584
Li4 Li 0.336 0.189 0.278
Li5 Li 0.441 0.488 0.357
Li6 Li 0.559 0.512 0.643
Li7 Li 0.664 0.811 0.722
Li8 Li 0.717 0.738 0.416
Li9 Li 0.758 0.268 0.090
Li10 Li 0.965 0.514 0.861
Bi1 Bi 0.128 0.872 0.237
Bi2 Bi 0.872 0.128 0.763
P1 P 0.120 0.635 0.574
P2 P 0.166 0.141 0.966
P3 P 0.307 0.898 0.545
P4 P 0.412 0.343 0.948
P5 P 0.588 0.657 0.052
P6 P 0.693 0.102 0.455
P7 P 0.834 0.859 0.034
P8 P 0.880 0.365 0.426
O1 O 0.027 0.259 0.859
O2 O 0.077 0.371 0.336
O3 O 0.081 0.183 0.115
O4 O 0.124 0.659 0.413
O5 O 0.142 0.803 0.604
O6 O 0.211 0.958 0.961
O7 O 0.217 0.049 0.622
O8 O 0.221 0.492 0.931
O9 O 0.305 0.486 0.607
O10 O 0.319 0.944 0.384
O11 O 0.374 0.181 0.915
O12 O 0.408 0.646 0.170
O13 O 0.460 0.305 0.096
O14 O 0.495 0.225 0.412
O15 O 0.505 0.775 0.588
O16 O 0.540 0.695 0.904
O17 O 0.592 0.354 0.830
O18 O 0.626 0.819 0.085
O19 O 0.681 0.056 0.616
O20 O 0.695 0.514 0.393
O21 O 0.779 0.508 0.069
O22 O 0.783 0.951 0.378
O23 O 0.789 0.042 0.039
O24 O 0.858 0.197 0.396
O25 O 0.876 0.341 0.587
O26 O 0.919 0.817 0.885
O27 O 0.923 0.629 0.664
O28 O 0.973 0.741 0.141
```

Main lines, in order of rising 2θ (2θ = 5–70°):
| Position (°2θ) | I/Imax |
| --- | --- |
| 11.0 | 67 |
| 13.3 | 100 |
| 14.2 | 82 |
| 20.2 | 37 |
| 21.4 | 31 |
| 22.1 | 84 |
| 25.4 | 36 |
| 29.7 | 62 |
| 33.2 | 32 |
| 37.4 | 33 |


(4)
Simulated powder XRD pattern
Compound: Zn3CdGa2Ag2S8
Radiation: Cu Kα (λ = 1.5418 Å)
Structure: a GGA-PBE-relaxed structure

Cell and atoms:
```
data_Zn3CdGa2Ag2S8
_symmetry_space_group_name_H-M 'P 1'
_symmetry_Int_Tables_number 1
_symmetry_space_group_name_Hall 'P 1'
_cell_length_a 6.476
_cell_length_b 6.771
_cell_length_c 8.004
_cell_angle_alpha 90.20
_cell_angle_beta 90.02
_cell_angle_gamma 90.07
loop_
_atom_site_label
_atom_site_type_symbol
_atom_site_fract_x
_atom_site_fract_y
_atom_site_fract_z
Zn1 Zn 0.000 0.000 0.000
Zn2 Zn 0.001 0.995 0.501
Zn3 Zn 0.502 0.662 0.500
Cd1 Cd 0.499 0.659 0.002
Ga1 Ga 0.000 0.503 0.746
Ga2 Ga 0.501 0.150 0.256
Ag1 Ag 0.001 0.489 0.254
Ag2 Ag 0.506 0.163 0.749
S1 S 0.356 0.512 0.735
S2 S 0.364 0.012 0.018
S3 S 0.370 0.986 0.485
S4 S 0.396 0.474 0.266
S5 S 0.859 0.132 0.251
S6 S 0.868 0.668 0.517
S7 S 0.894 0.666 0.985
S8 S 0.900 0.172 0.750
```

Main lines, in order of rising 2θ (2θ = 5–70°):
| Position (°2θ) | I/Imax |
| --- | --- |
| 25.9 | 69 |
| 26.3 | 37 |
| 27.5 | 72 |
| 29.4 | 100 |
| 29.8 | 46 |
| 38.1 | 30 |
| 45.3 | 29 |
| 46.1 | 28 |
| 46.2 | 27 |
| 49.8 | 57 |


(5)
Simulated powder XRD pattern
Compound: SrCaDy4Be2O10
Radiation: Cu Kα (λ = 1.5418 Å)
Structure: a GGA-PBE-relaxed structure

Cell and atoms:
```
data_SrCaDy4Be2O10
_symmetry_space_group_name_H-M 'P 1'
_symmetry_Int_Tables_number 1
_symmetry_space_group_name_Hall 'P 1'
_cell_length_a 6.400
_cell_length_b 7.037
_cell_length_c 9.358
_cell_angle_alpha 90.00
_cell_angle_beta 90.30
_cell_angle_gamma 90.00
loop_
_atom_site_label
_atom_site_type_symbol
_atom_site_fract_x
_atom_site_fract_y
_atom_site_fract_z
Sr1 Sr 0.082 0.000 0.325
Sr2 Sr 0.918 0.500 0.675
Ca1 Ca 0.416 0.997 0.823
Ca2 Ca 0.584 0.497 0.177
Dy1 Dy 0.072 0.458 0.321
Dy2 Dy 0.097 0.735 0.020
Dy3 Dy 0.405 0.732 0.522
Dy4 Dy 0.433 0.447 0.829
Dy5 Dy 0.567 0.947 0.171
Dy6 Dy 0.595 0.232 0.478
Dy7 Dy 0.903 0.235 0.980
Dy8 Dy 0.928 0.958 0.679
Be1 Be 0.197 0.230 0.604
Be2 Be 0.310 0.234 0.100
Be3 Be 0.690 0.734 0.900
Be4 Be 0.803 0.730 0.396
O1 O 0.023 0.730 0.489
O2 O 0.139 0.224 0.781
O3 O 0.162 0.744 0.782
O4 O 0.180 0.427 0.069
O5 O 0.200 0.033 0.069
O6 O 0.310 0.033 0.570
O7 O 0.324 0.425 0.578
O8 O 0.340 0.724 0.277
O9 O 0.370 0.239 0.277
O10 O 0.476 0.732 0.993
O11 O 0.524 0.232 0.007
O12 O 0.630 0.739 0.723
O13 O 0.660 0.224 0.723
O14 O 0.676 0.925 0.422
O15 O 0.690 0.533 0.430
O16 O 0.800 0.533 0.931
O17 O 0.820 0.927 0.931
O18 O 0.838 0.244 0.218
O19 O 0.861 0.724 0.219
O20 O 0.977 0.230 0.511
```

Main lines, in order of rising 2θ (2θ = 5–70°):
| Position (°2θ) | I/Imax |
| --- | --- |
| 21.0 | 32 |
| 29.5 | 28 |
| 30.5 | 80 |
| 31.8 | 100 |
| 32.0 | 44 |
| 32.2 | 45 |
| 39.3 | 32 |
| 41.0 | 22 |
| 46.6 | 23 |
| 58.5 | 26 |


(6)
Simulated powder XRD pattern
Compound: Sr3Tl5
Radiation: Cu Kα (λ = 1.5418 Å)
Structure: a GGA-PBE-relaxed structure

Cell and atoms:
```
data_Sr3Tl5
_symmetry_space_group_name_H-M 'P 1'
_symmetry_Int_Tables_number 1
_symmetry_space_group_name_Hall 'P 1'
_cell_length_a 6.889
_cell_length_b 6.889
_cell_length_c 11.586
_cell_angle_alpha 90.00
_cell_angle_beta 90.00
_cell_angle_gamma 77.16
loop_
_atom_site_label
_atom_site_type_symbol
_atom_site_fract_x
_atom_site_fract_y
_atom_site_fract_z
Sr1 Sr 0.109 0.891 0.750
Sr2 Sr 0.293 0.293 0.000
Sr3 Sr 0.293 0.293 0.500
Sr4 Sr 0.707 0.707 0.000
Sr5 Sr 0.707 0.707 0.500
Sr6 Sr 0.891 0.109 0.250
Tl1 Tl 0.021 0.583 0.250
Tl2 Tl 0.193 0.807 0.042
Tl3 Tl 0.193 0.807 0.458
Tl4 Tl 0.417 0.979 0.250
Tl5 Tl 0.486 0.514 0.750
Tl6 Tl 0.514 0.486 0.250
Tl7 Tl 0.583 0.021 0.750
Tl8 Tl 0.807 0.193 0.542
Tl9 Tl 0.807 0.193 0.958
Tl10 Tl 0.979 0.417 0.750
```

Main lines, in order of rising 2θ (2θ = 5–70°):
| Position (°2θ) | I/Imax |
| --- | --- |
| 15.3 | 14 |
| 28.0 | 10 |
| 30.8 | 100 |
| 31.1 | 17 |
| 32.3 | 19 |
| 33.3 | 20 |
| 35.7 | 26 |
| 53.2 | 9 |
| 62.0 | 12 |
| 62.8 | 14 |


What did the fifth record say?
Simulated powder XRD pattern
Compound: SrCaDy4Be2O10
Radiation: Cu Kα (λ = 1.5418 Å)
Structure: a GGA-PBE-relaxed structure

Cell and atoms:
```
data_SrCaDy4Be2O10
_symmetry_space_group_name_H-M 'P 1'
_symmetry_Int_Tables_number 1
_symmetry_space_group_name_Hall 'P 1'
_cell_length_a 6.400
_cell_length_b 7.037
_cell_length_c 9.358
_cell_angle_alpha 90.00
_cell_angle_beta 90.30
_cell_angle_gamma 90.00
loop_
_atom_site_label
_atom_site_type_symbol
_atom_site_fract_x
_atom_site_fract_y
_atom_site_fract_z
Sr1 Sr 0.082 0.000 0.325
Sr2 Sr 0.918 0.500 0.675
Ca1 Ca 0.416 0.997 0.823
Ca2 Ca 0.584 0.497 0.177
Dy1 Dy 0.072 0.458 0.321
Dy2 Dy 0.097 0.735 0.020
Dy3 Dy 0.405 0.732 0.522
Dy4 Dy 0.433 0.447 0.829
Dy5 Dy 0.567 0.947 0.171
Dy6 Dy 0.595 0.232 0.478
Dy7 Dy 0.903 0.235 0.980
Dy8 Dy 0.928 0.958 0.679
Be1 Be 0.197 0.230 0.604
Be2 Be 0.310 0.234 0.100
Be3 Be 0.690 0.734 0.900
Be4 Be 0.803 0.730 0.396
O1 O 0.023 0.730 0.489
O2 O 0.139 0.224 0.781
O3 O 0.162 0.744 0.782
O4 O 0.180 0.427 0.069
O5 O 0.200 0.033 0.069
O6 O 0.310 0.033 0.570
O7 O 0.324 0.425 0.578
O8 O 0.340 0.724 0.277
O9 O 0.370 0.239 0.277
O10 O 0.476 0.732 0.993
O11 O 0.524 0.232 0.007
O12 O 0.630 0.739 0.723
O13 O 0.660 0.224 0.723
O14 O 0.676 0.925 0.422
O15 O 0.690 0.533 0.430
O16 O 0.800 0.533 0.931
O17 O 0.820 0.927 0.931
O18 O 0.838 0.244 0.218
O19 O 0.861 0.724 0.219
O20 O 0.977 0.230 0.511
```

Main lines, in order of rising 2θ (2θ = 5–70°):
| Position (°2θ) | I/Imax |
| --- | --- |
| 21.0 | 32 |
| 29.5 | 28 |
| 30.5 | 80 |
| 31.8 | 100 |
| 32.0 | 44 |
| 32.2 | 45 |
| 39.3 | 32 |
| 41.0 | 22 |
| 46.6 | 23 |
| 58.5 | 26 |